# 1
Diffraction record for Li7Mn2Co3O12. The powder diffractogram is computed, not measured: it uses the PBE+U geometry in the Materials Project and copper Kα.

The 12 most intense peaks (2θ from 10° to 80°), most intense first:
2θ (°)  Rel. int.  h k l
18.4  100.0  0 0 1
43.7  56.0  1 3 1
44.3  27.1  2 0 -2
36.2  25.4  1 3 0
63.4  14.7  1 3 -3
64.5  14.5  3 3 -1
36.6  12.6  2 0 -1
48.0  12.1  1 3 -2
10.1  11.1  0 1 0
57.6  9.6  1 3 2
63.2  7.6  2 0 2
63.9  7.2  0 6 0

a = 4.9910 Å, b = 8.7391 Å, c = 5.0927 Å
α = 90.00°, β = 108.58°, γ = 90.00°
Fractional positions:
Li (0.0000, 0.0000, 0.0000)
Li (0.0000, 0.1543, 0.5000)
Li (0.0000, 0.4984, 0.5000)
Li (0.0000, 0.8408, 0.5000)
Li (0.5000, 0.3256, 0.5000)
Li (0.5000, 0.6706, 0.5000)
Li (0.5000, 0.9939, 0.5000)
Mn (0.5000, 0.1608, 0.0000)
Mn (0.5000, 0.4966, 0.0000)
Co (0.0000, 0.3291, 0.0000)
Co (0.0000, 0.6732, 0.0000)
Co (0.5000, 0.8377, 0.0000)
O (0.2464, 0.4919, 0.2181)
O (0.2498, 0.1768, 0.2199)
O (0.2521, 0.8208, 0.2322)
O (0.2596, 0.3319, 0.7830)
O (0.2647, 0.6531, 0.7700)
O (0.2767, 0.0070, 0.7663)
O (0.7233, 0.0070, 0.2337)
O (0.7353, 0.6531, 0.2300)
O (0.7404, 0.3319, 0.2170)
O (0.7479, 0.8208, 0.7678)
O (0.7502, 0.1768, 0.7801)
O (0.7536, 0.4919, 0.7819)



# 2
Diffraction record for Li4MnCo2O7. The powder diffractogram is computed, not measured: it uses the PBE+U geometry in the Materials Project and copper Kα.

The 12 most intense peaks (2θ from 10° to 80°), most intense first:
2θ (°)  Rel. int.  h k l
18.4  100.0  0 1 2
41.4  33.9  1 2 1
44.7  26.1  1 -2 0
44.9  25.3  0 0 7
36.8  22.8  1 -1 2
34.5  18.4  1 1 -1
62.6  15.8  2 0 1
62.8  8.2  1 2 8
62.5  8.1  0 4 1
37.3  7.8  0 2 4
64.5  6.9  -1 2 7
66.0  6.7  1 -2 7

a = 2.9737 Å, b = 5.9617 Å, c = 14.2984 Å
α = 82.92°, β = 84.53°, γ = 85.84°
Fractional positions:
Li (0.0000, 0.0000, 0.0000)
Li (0.0083, 0.5172, 0.9995)
Li (0.1439, 0.0797, 0.7207)
Li (0.2909, 0.6492, 0.4309)
Li (0.4381, 0.2186, 0.1419)
Li (0.5718, 0.7975, 0.8655)
Li (0.7174, 0.3647, 0.5756)
Li (0.8585, 0.9345, 0.2912)
Mn (0.4375, 0.7289, 0.1418)
Mn (0.7182, 0.8632, 0.5758)
Co (0.1448, 0.5759, 0.7199)
Co (0.2916, 0.1527, 0.4314)
Co (0.5694, 0.2825, 0.8671)
Co (0.8683, 0.4383, 0.2896)
O (0.0498, 0.0639, 0.8599)
O (0.1032, 0.5302, 0.8537)
O (0.1883, 0.6154, 0.5820)
O (0.2468, 0.1118, 0.5683)
O (0.3320, 0.1991, 0.2941)
O (0.3928, 0.6720, 0.2835)
O (0.4935, 0.7511, 0.0135)
O (0.5123, 0.2656, 0.9904)
O (0.6156, 0.3392, 0.7289)
O (0.6734, 0.8167, 0.7139)
O (0.7611, 0.9117, 0.4361)
O (0.8171, 0.3892, 0.4251)
O (0.9092, 0.9418, 0.1469)
O (0.9527, 0.4970, 0.1520)



# 3
Diffraction record for Li2Mn3CoO8. The powder diffractogram is computed, not measured: it uses the PBE+U geometry in the Materials Project and copper Kα.

The 12 most intense peaks (2θ from 10° to 80°), most intense first:
2θ (°)  Rel. int.  h k l
35.9  100.0  3 1 1
63.4  51.0  4 4 0
18.5  45.5  1 1 1
57.7  39.9  5 1 1
43.6  37.9  4 0 0
24.0  27.3  2 0 1
15.1  22.1  1 1 0
30.5  20.8  2 2 0
21.4  20.5  2 0 0
26.3  10.7  2 1 1
75.0  9.8  5 3 3
37.5  9.1  2 2 2

a = 8.3029 Å, b = 8.3029 Å, c = 8.3029 Å
α = 90.00°, β = 90.00°, γ = 90.00°
Fractional positions:
Li (0.1244, 0.1244, 0.1244)
Li (0.2484, 0.7516, 0.2516)
Li (0.2516, 0.2484, 0.7516)
Li (0.3756, 0.8756, 0.6244)
Li (0.6244, 0.3756, 0.8756)
Li (0.7484, 0.7484, 0.7484)
Li (0.7516, 0.2516, 0.2484)
Li (0.8756, 0.6244, 0.3756)
Mn (0.1220, 0.8758, 0.8770)
Mn (0.1230, 0.6220, 0.6242)
Mn (0.1242, 0.3770, 0.3780)
Mn (0.3758, 0.6230, 0.8780)
Mn (0.3770, 0.3780, 0.1242)
Mn (0.3780, 0.1242, 0.3770)
Mn (0.6220, 0.6242, 0.1230)
Mn (0.6230, 0.8780, 0.3758)
Mn (0.6242, 0.1230, 0.6220)
Mn (0.8758, 0.8770, 0.1220)
Mn (0.8770, 0.1220, 0.8758)
Mn (0.8780, 0.3758, 0.6230)
Co (0.0030, 0.9970, 0.4970)
Co (0.4970, 0.0030, 0.9970)
Co (0.5030, 0.5030, 0.5030)
Co (0.9970, 0.4970, 0.0030)
O (0.1015, 0.8721, 0.1067)
O (0.1067, 0.1015, 0.8721)
O (0.1140, 0.3860, 0.6140)
O (0.1216, 0.8527, 0.6403)
O (0.1279, 0.6067, 0.3985)
O (0.1359, 0.6359, 0.8641)
O (0.1403, 0.3784, 0.1473)
O (0.1473, 0.1403, 0.3784)
O (0.3527, 0.8597, 0.8784)
O (0.3597, 0.6216, 0.6473)
O (0.3641, 0.3641, 0.3641)
O (0.3721, 0.3933, 0.8985)
O (0.3784, 0.1473, 0.1403)
O (0.3860, 0.6140, 0.1140)
O (0.3933, 0.8985, 0.3721)
O (0.3985, 0.1279, 0.6067)
O (0.6015, 0.6279, 0.8933)
O (0.6067, 0.3985, 0.1279)
O (0.6140, 0.1140, 0.3860)
O (0.6216, 0.6473, 0.3597)
O (0.6279, 0.8933, 0.6015)
O (0.6359, 0.8641, 0.1359)
O (0.6403, 0.1216, 0.8527)
O (0.6473, 0.3597, 0.6216)
O (0.8527, 0.6403, 0.1216)
O (0.8597, 0.8784, 0.3527)
O (0.8641, 0.1359, 0.6359)
O (0.8721, 0.1067, 0.1015)
O (0.8784, 0.3527, 0.8597)
O (0.8860, 0.8860, 0.8860)
O (0.8933, 0.6015, 0.6279)
O (0.8985, 0.3721, 0.3933)



# 4
Diffraction record for Li7Mn4CoO12. The powder diffractogram is computed, not measured: it uses the PBE+U geometry in the Materials Project and copper Kα.

The 12 most intense peaks (2θ from 10° to 80°), most intense first:
2θ (°)  Rel. int.  h k l
18.3  100.0  0 0 2
40.8  36.7  1 1 -3
44.2  28.2  1 -2 3
44.4  27.3  0 3 2
36.3  23.6  1 -2 1
34.1  19.0  1 1 -1
61.7  16.9  0 3 -6
11.9  8.8  0 1 0
61.9  8.7  2 -1 0
62.1  8.4  -1 2 5
13.4  7.6  0 1 -1
64.0  7.5  1 1 5

a = 3.0077 Å, b = 7.6598 Å, c = 9.9486 Å
α = 101.22°, β = 93.63°, γ = 98.08°
Fractional positions:
Li (0.0000, 0.0000, 0.0000)
Li (0.0632, 0.1594, 0.7659)
Li (0.1518, 0.3302, 0.5123)
Li (0.3134, 0.6572, 0.0075)
Li (0.4987, 0.9992, 0.5128)
Li (0.6503, 0.3168, 0.9956)
Li (0.8135, 0.6565, 0.5103)
Mn (0.2368, 0.4930, 0.2566)
Mn (0.4095, 0.8327, 0.7579)
Mn (0.5720, 0.1596, 0.2575)
Mn (0.9050, 0.8268, 0.2589)
Co (0.7338, 0.4790, 0.7536)
O (0.1476, 0.2507, 0.1399)
O (0.1824, 0.4231, 0.8706)
O (0.3065, 0.5815, 0.6469)
O (0.3255, 0.7347, 0.3763)
O (0.4810, 0.9166, 0.1422)
O (0.5121, 0.0545, 0.8753)
O (0.6317, 0.2691, 0.6418)
O (0.6606, 0.4020, 0.3738)
O (0.8134, 0.5856, 0.1398)
O (0.8833, 0.7384, 0.8590)
O (0.9143, 0.8967, 0.6492)
O (0.9937, 0.0691, 0.3780)



Question: What is the formula in the third record?
Answer: Li2Mn3CoO8